Entry 1:
Simulated X-ray powder pattern of Sc2Ta for CuKα, from the PBE geometry in Alexandria.
Neutral-atom scattering factors, no anomalous dispersion.

Structure:
```
Sc2Ta
1.0
3.0481 0.0000 0.0000
0.0000 4.9148 0.0000
0.0000 0.0000 8.4959
Sc Ta
4 2
Cartesian
0.0000 0.0000 0.0000
0.0000 0.0000 2.8252
0.0000 2.4574 6.8451
1.5240 0.0000 5.5943
1.5240 2.4574 1.2810
1.5240 2.4574 4.0321
```

Principal peaks in the range 5 to 70 degrees two-theta, by intensity:
2theta, d (Å), I/Imax, h k l
36.60, 2.455, 1000, 0 2 0
36.26, 2.477, 568, 1 1 1
18.05, 4.915, 469, 0 1 0
10.41, 8.496, 448, 0 0 1
34.63, 2.590, 351, 1 1 0
47.56, 1.912, 258, 1 1 3
20.89, 4.253, 255, 0 1 1
65.67, 1.422, 193, 1 2 4
52.48, 1.744, 191, 1 0 4
43.63, 2.075, 181, 1 0 3
58.20, 1.585, 156, 1 2 3
29.30, 3.048, 150, 1 0 0



Entry 2:
Simulated X-ray powder pattern of ScTa2W for CuKα, from the PBE geometry in Alexandria.
Neutral-atom scattering factors, no anomalous dispersion.

Structure:
```
ScTa2W
1.0
2.8356 0.0000 0.0000
0.0000 4.6863 0.0000
-1.0023 0.0000 5.5044
Sc Ta W
1 2 1
Cartesian
0.0000 0.0000 0.0000
0.7352 0.0000 2.8211
1.7337 2.3431 1.4300
-0.0790 2.3431 4.1006
```

Principal peaks in the range 5 to 70 degrees two-theta, by intensity:
2theta, d (Å), I/Imax, h k l
37.91, 2.373, 1000, 0 1 2
38.59, 2.333, 931, 1 1 -1
38.42, 2.343, 487, 0 2 0
38.71, 2.326, 473, 1 0 1
69.12, 1.359, 346, 1 1 3
55.68, 1.651, 330, 1 2 1
16.10, 5.504, 266, 0 0 1
68.85, 1.364, 169, 1 2 -3
69.59, 1.351, 165, 1 3 -1
54.73, 1.677, 163, 1 0 -3
18.94, 4.686, 151, 0 1 0
24.95, 3.568, 117, 0 1 1



Entry 3:
Simulated X-ray powder pattern of ZrScTa for CuKα, from the PBE geometry in Alexandria.
Neutral-atom scattering factors, no anomalous dispersion.

Structure:
```
ZrScTa
1.0
5.8482 0.0000 0.0000
0.0000 5.5678 0.0000
0.0000 0.0000 7.9948
Zr Sc Ta
4 4 4
Cartesian
1.4620 0.5325 0.0000
1.4620 2.2514 3.9974
4.3861 3.3164 3.9974
4.3861 5.0353 0.0000
1.4620 3.3192 1.1714
1.4620 5.0326 5.1688
4.3861 0.5353 5.1688
4.3861 2.2487 1.1714
0.0000 0.0000 2.5494
0.0000 2.7839 6.5468
2.9241 0.0000 2.5494
2.9241 2.7839 6.5468
```

Principal peaks in the range 5 to 70 degrees two-theta, by intensity:
2theta, d (Å), I/Imax, h k l
36.48, 2.463, 1000, 2 1 1
37.43, 2.402, 969, 0 1 3
19.43, 4.569, 794, 0 1 1
38.13, 2.360, 587, 2 0 2
32.15, 2.784, 342, 0 2 0
50.71, 1.800, 323, 2 2 2
69.04, 1.360, 203, 2 1 5
39.44, 2.285, 167, 0 2 2
22.24, 3.997, 153, 0 0 2
69.62, 1.351, 147, 2 3 3
60.18, 1.538, 143, 2 3 1
50.48, 1.808, 139, 0 3 1